[1]
For Pm5Nd2Dy4, a DFT-relaxed cell (PBE, Alexandria) gives the simulated X-ray diffraction stick pattern in this record (Cu Kα).
Peak positions follow from Bragg's law for the DFT cell and can differ from measured ones.

Largest 10 diffraction maxima, sorted by position, 2θ = 5–70°:
2θ (°)	Rel. int.	h k l
29.22	17	4 0 2
29.31	13	2 0 -4
30.73	50	0 0 4
30.86	100	3 1 -2
31.01	34	6 0 0
35.32	78	3 1 2
36.72	16	6 0 -4
50.81	22	0 2 0
60.53	23	0 2 4
60.75	15	6 2 0

Structure:
```
data_Pm5Nd2Dy4
_cell_length_a 18.1382
_cell_length_b 3.5944
_cell_length_c 12.1971
_cell_angle_alpha 90.00
_cell_angle_beta 107.43
_cell_angle_gamma 90.00
_space_group_name_H-M_alt 'C 1 2/m 1'
_space_group_IT_number 12
loop_
_space_group_symop_operation_xyz
'x,y,z'
'-x,-y,-z'
'-x,y,-z'
'x,-y,z'
'x+1/2,y+1/2,z'
'-x+1/2,-y+1/2,-z'
'-x+1/2,y+1/2,-z'
'x+1/2,-y+1/2,z'
loop_
_atom_site_label
_atom_site_type_symbol
_atom_site_fract_x
_atom_site_fract_y
_atom_site_fract_z
_atom_site_occupancy
Pm1 Pm 0.0000 0.0000 0.0000 1
Pm2 Pm 0.1095 0.5000 0.5167 1
Pm3 Pm 0.1662 0.5000 0.0132 1
Nd1 Nd 0.1791 0.0000 0.2968 1
Dy1 Dy 0.0032 0.5000 0.7535 1
Dy2 Dy 0.1693 0.0000 0.7683 1
```


[2]
For Rb2UI7, a DFT-relaxed cell (PBE, Alexandria) gives the simulated X-ray diffraction stick pattern in this record (Cu Kα).
Peak positions follow from Bragg's law for the DFT cell and can differ from measured ones.

Largest 10 diffraction maxima, sorted by position, 2θ = 5–70°:
2θ (°)	Rel. int.	h k l
11.18	100	1 1 0
12.45	74	2 0 -2
24.84	52	5 1 -3
26.19	81	4 2 -2
26.39	61	2 0 2
27.16	75	2 2 -3
29.30	74	1 3 -1
33.09	36	6 2 -3
35.86	38	7 1 -5
36.10	33	4 2 1

Structure:
```
data_Rb2UI7
_cell_length_a 19.9028
_cell_length_b 9.3561
_cell_length_c 14.2531
_cell_angle_alpha 90.00
_cell_angle_beta 131.87
_cell_angle_gamma 90.00
_space_group_name_H-M_alt 'C 1 2/c 1'
_space_group_IT_number 15
loop_
_space_group_symop_operation_xyz
'x,y,z'
'-x,-y,-z'
'-x,y,-z+1/2'
'x,-y,z+1/2'
'x+1/2,y+1/2,z'
'-x+1/2,-y+1/2,-z'
'-x+1/2,y+1/2,-z+1/2'
'x+1/2,-y+1/2,z+1/2'
loop_
_atom_site_label
_atom_site_type_symbol
_atom_site_fract_x
_atom_site_fract_y
_atom_site_fract_z
_atom_site_occupancy
Rb1 Rb 0.1811 0.0312 0.0720 1
U1 U 0.0000 0.4207 0.2500 1
I1 I 0.0000 0.0931 0.2500 1
I2 I 0.0920 0.3452 0.1527 1
I3 I 0.1101 0.3010 0.7970 1
I4 I 0.1694 0.3805 0.5171 1
```


[3]
For Pu2Si5Ir3, a DFT-relaxed cell (PBE, Alexandria) gives the simulated X-ray diffraction stick pattern in this record (Cu Kα).
Peak positions follow from Bragg's law for the DFT cell and can differ from measured ones.

Largest 10 diffraction maxima, sorted by position, 2θ = 5–70°:
2θ (°)	Rel. int.	h k l
23.47	21	2 2 0
24.78	35	1 3 0
30.69	23	2 0 -2
32.95	27	3 1 -2
34.65	100	4 2 -1
35.66	40	0 0 2
35.91	39	2 4 0
44.17	56	2 4 -2
50.74	23	4 2 1
57.15	24	6 2 -3

Structure:
```
data_Pu2Si5Ir3
_cell_length_a 11.5746
_cell_length_b 11.5467
_cell_length_c 5.8258
_cell_angle_alpha 90.00
_cell_angle_beta 120.12
_cell_angle_gamma 90.00
_space_group_name_H-M_alt 'C 1 2/c 1'
_space_group_IT_number 15
loop_
_space_group_symop_operation_xyz
'x,y,z'
'-x,-y,-z'
'-x,y,-z+1/2'
'x,-y,z+1/2'
'x+1/2,y+1/2,z'
'-x+1/2,-y+1/2,-z'
'-x+1/2,y+1/2,-z+1/2'
'x+1/2,-y+1/2,z+1/2'
loop_
_atom_site_label
_atom_site_type_symbol
_atom_site_fract_x
_atom_site_fract_y
_atom_site_fract_z
_atom_site_occupancy
Pu1 Pu 0.2300 0.1315 0.2299 1
Si1 Si 0.0000 0.0006 0.2500 1
Si2 Si 0.0000 0.2755 0.2500 1
Si3 Si 0.0000 0.2761 0.7500 1
Si4 Si 0.1556 0.3945 0.1559 1
Ir1 Ir 0.0000 0.5002 0.2500 1
Ir2 Ir 0.1128 0.1403 0.6136 1
```


[4]
For Sm4SiHgTe2, a DFT-relaxed cell (PBE, Alexandria) gives the simulated X-ray diffraction stick pattern in this record (Cu Kα).
Peak positions follow from Bragg's law for the DFT cell and can differ from measured ones.

Largest 10 diffraction maxima, sorted by position, 2θ = 5–70°:
2θ (°)	Rel. int.	h k l
28.76	100	1 1 1
28.91	50	2 0 -2
40.26	19	2 0 2
40.82	38	1 1 -3
41.66	36	3 1 -1
41.98	18	0 2 0
49.60	10	0 0 4
51.04	9	4 0 0
51.77	20	2 2 -2
59.57	12	2 2 2

Structure:
```
data_Sm4SiHgTe2
_cell_length_a 7.5298
_cell_length_b 4.3048
_cell_length_c 7.7338
_cell_angle_alpha 90.00
_cell_angle_beta 108.10
_cell_angle_gamma 90.00
_space_group_name_H-M_alt 'P 1 2/m 1'
_space_group_IT_number 10
loop_
_space_group_symop_operation_xyz
'x,y,z'
'-x,-y,-z'
'-x,y,-z'
'x,-y,z'
loop_
_atom_site_label
_atom_site_type_symbol
_atom_site_fract_x
_atom_site_fract_y
_atom_site_fract_z
_atom_site_occupancy
Sm1 Sm 0.2295 0.0000 0.2281 1
Sm2 Sm 0.2396 0.5000 0.7577 1
Si1 Si 0.0000 0.5000 0.0000 1
Hg1 Hg 0.5000 0.0000 0.0000 1
Te1 Te 0.0000 0.0000 0.5000 1
Te2 Te 0.5000 0.5000 0.5000 1
```


[5]
For Ba3In2F12, a DFT-relaxed cell (PBE, Alexandria) gives the simulated X-ray diffraction stick pattern in this record (Cu Kα).
Peak positions follow from Bragg's law for the DFT cell and can differ from measured ones.

Largest 10 diffraction maxima, sorted by position, 2θ = 5–70°:
2θ (°)	Rel. int.	h k l
24.02	32	2 0 1
25.73	100	2 1 1
29.03	31	3 1 0
31.28	15	0 0 2
38.15	16	4 1 0
41.06	15	2 2 2
41.41	14	4 1 1
43.20	41	3 1 2
52.41	15	2 1 3
53.21	18	4 4 0

Structure:
```
data_Ba3In2F12
_cell_length_a 9.7256
_cell_length_b 9.7256
_cell_length_c 5.7184
_cell_angle_alpha 90.00
_cell_angle_beta 90.00
_cell_angle_gamma 90.00
_space_group_name_H-M_alt 'P 4/m b m'
_space_group_IT_number 127
_space_group_name_Hall '-P 4 2ab'
loop_
_atom_site_label
_atom_site_type_symbol
_atom_site_fract_x
_atom_site_fract_y
_atom_site_fract_z
_atom_site_occupancy
Ba1 Ba 0.0000 0.0000 0.0000 1
Ba2 Ba 0.1793 0.3207 0.5000 1
In1 In 0.1331 0.6331 0.0000 1
F1 F 0.0000 0.5000 0.2222 1
F2 F 0.0552 0.7737 0.2573 1
F3 F 0.2082 0.2918 0.0000 1
```


[6]
For Ag2TeS, a DFT-relaxed cell (PBE, Alexandria) gives the simulated X-ray diffraction stick pattern in this record (Cu Kα).
Peak positions follow from Bragg's law for the DFT cell and can differ from measured ones.

Largest 10 diffraction maxima, sorted by position, 2θ = 5–70°:
2θ (°)	Rel. int.	h k l
24.36	55	1 0 2
26.90	21	2 0 1
28.82	61	1 1 2
29.14	20	2 1 0
34.80	22	1 2 1
39.50	100	1 2 2
39.74	56	2 2 0
42.63	35	0 0 4
43.32	45	3 0 2
59.69	33	2 2 4

Structure:
```
data_Ag2TeS
_cell_length_a 7.1999
_cell_length_b 5.8409
_cell_length_c 8.4833
_cell_angle_alpha 90.00
_cell_angle_beta 90.00
_cell_angle_gamma 90.00
_space_group_name_H-M_alt 'P n m a'
_space_group_IT_number 62
loop_
_space_group_symop_operation_xyz
'x,y,z'
'-x,-y,-z'
'-x+1/2,-y,z+1/2'
'x+1/2,y,-z+1/2'
'x+1/2,-y+1/2,-z+1/2'
'-x+1/2,y+1/2,z+1/2'
'-x,y+1/2,-z'
'x,-y+1/2,z'
loop_
_atom_site_label
_atom_site_type_symbol
_atom_site_fract_x
_atom_site_fract_y
_atom_site_fract_z
_atom_site_occupancy
Ag1 Ag 0.2091 0.9998 0.1207 1
Te1 Te 0.0612 0.2500 0.3878 1
S1 S 0.0868 0.2500 0.8644 1
```


[7]
For LiAc2AgPd6, a DFT-relaxed cell (PBE, Alexandria) gives the simulated X-ray diffraction stick pattern in this record (Cu Kα).
Peak positions follow from Bragg's law for the DFT cell and can differ from measured ones.

Largest 10 diffraction maxima, sorted by position, 2θ = 5–70°:
2θ (°)	Rel. int.	h k l
26.63	35	2 0 0
31.34	7	2 1 1
32.77	100	2 0 2
38.02	77	2 2 0
41.58	10	3 0 1
47.03	13	2 0 4
54.86	51	4 0 0
65.31	12	2 0 6
65.44	24	4 2 2
68.70	16	4 0 4

Structure:
```
data_LiAc2AgPd6
_cell_length_a 6.6885
_cell_length_b 6.6885
_cell_length_c 9.4813
_cell_angle_alpha 90.00
_cell_angle_beta 90.00
_cell_angle_gamma 90.00
_space_group_name_H-M_alt 'I 4/m m m'
_space_group_IT_number 139
_space_group_name_Hall '-I 4 2'
loop_
_atom_site_label
_atom_site_type_symbol
_atom_site_fract_x
_atom_site_fract_y
_atom_site_fract_z
_atom_site_occupancy
Li1 Li 0.0000 0.0000 0.0000 1
Ac1 Ac 0.0000 0.5000 0.2500 1
Ag1 Ag 0.0000 0.0000 0.5000 1
Pd1 Pd 0.0000 0.0000 0.2299 1
Pd2 Pd 0.2298 0.2298 0.0000 1
```


[8]
For Hf3MnTl3S8, a DFT-relaxed cell (PBE, Alexandria) gives the simulated X-ray diffraction stick pattern in this record (Cu Kα).
Peak positions follow from Bragg's law for the DFT cell and can differ from measured ones.

Largest 10 diffraction maxima, sorted by position, 2θ = 5–70°:
2θ (°)	Rel. int.	h k l
15.81	27	2 0 0
20.46	15	1 1 1
22.44	40	0 0 2
29.08	54	2 2 0
31.93	100	2 2 -2
41.60	41	4 0 -4
47.78	22	4 0 2
49.67	30	0 4 0
55.15	23	6 2 0
60.27	16	8 0 -4

Structure:
```
data_Hf3MnTl3S8
_cell_length_a 12.7147
_cell_length_b 7.3429
_cell_length_c 8.9774
_cell_angle_alpha 90.00
_cell_angle_beta 118.05
_cell_angle_gamma 90.00
_space_group_name_H-M_alt 'C 1 2/m 1'
_space_group_IT_number 12
loop_
_space_group_symop_operation_xyz
'x,y,z'
'-x,-y,-z'
'-x,y,-z'
'x,-y,z'
'x+1/2,y+1/2,z'
'-x+1/2,-y+1/2,-z'
'-x+1/2,y+1/2,-z'
'x+1/2,-y+1/2,z'
loop_
_atom_site_label
_atom_site_type_symbol
_atom_site_fract_x
_atom_site_fract_y
_atom_site_fract_z
_atom_site_occupancy
Hf1 Hf 0.0000 0.0000 0.0000 1
Hf2 Hf 0.2500 0.2500 0.0000 1
Mn1 Mn 0.0000 0.5000 0.0000 1
Tl1 Tl 0.0000 0.5000 0.5000 1
Tl2 Tl 0.2500 0.2500 0.5000 1
S1 S 0.0238 0.2469 0.8178 1
S2 S 0.2275 0.0000 0.1833 1
S3 S 0.2290 0.5000 0.1822 1
```


[9]
For FeTcPd3, a DFT-relaxed cell (PBE, Alexandria) gives the simulated X-ray diffraction stick pattern in this record (Cu Kα).
Peak positions follow from Bragg's law for the DFT cell and can differ from measured ones.

Largest 10 diffraction maxima, sorted by position, 2θ = 5–70°:
2θ (°)	Rel. int.	h k l
18.79	59	1 0 0
26.69	6	1 1 0
32.84	69	1 1 1
38.11	100	2 0 0
42.81	28	2 1 0
47.13	2	2 1 1
54.99	67	2 2 0
58.64	14	3 0 0
65.55	26	3 1 1
68.86	22	2 2 2

Structure:
```
data_FeTcPd3
_cell_length_a 4.7231
_cell_length_b 4.7231
_cell_length_c 4.7231
_cell_angle_alpha 90.00
_cell_angle_beta 90.00
_cell_angle_gamma 90.00
_space_group_name_H-M_alt 'P m -3 m'
_space_group_IT_number 221
_space_group_name_Hall '-P 4 2 3'
loop_
_atom_site_label
_atom_site_type_symbol
_atom_site_fract_x
_atom_site_fract_y
_atom_site_fract_z
_atom_site_occupancy
Fe1 Fe 0.0000 0.0000 0.0000 1
Tc1 Tc 0.5000 0.5000 0.5000 1
Pd1 Pd 0.0000 0.5000 0.5000 1
```


[10]
For Sm5TmN6, a DFT-relaxed cell (PBE, Alexandria) gives the simulated X-ray diffraction stick pattern in this record (Cu Kα).
Peak positions follow from Bragg's law for the DFT cell and can differ from measured ones.

Largest 5 diffraction maxima, sorted by position, 2θ = 5–70°:
2θ (°)	Rel. int.	h k l
30.77	100	2 0 0
35.68	73	1 3 1
51.35	50	2 0 2
61.07	45	3 3 1
64.10	17	4 0 0

Structure:
```
data_Sm5TmN6
_cell_length_a 6.1633
_cell_length_b 10.6781
_cell_length_c 6.1612
_cell_angle_alpha 90.00
_cell_angle_beta 109.47
_cell_angle_gamma 90.00
_space_group_name_H-M_alt 'C 1 2/m 1'
_space_group_IT_number 12
loop_
_space_group_symop_operation_xyz
'x,y,z'
'-x,-y,-z'
'-x,y,-z'
'x,-y,z'
'x+1/2,y+1/2,z'
'-x+1/2,-y+1/2,-z'
'-x+1/2,y+1/2,-z'
'x+1/2,-y+1/2,z'
loop_
_atom_site_label
_atom_site_type_symbol
_atom_site_fract_x
_atom_site_fract_y
_atom_site_fract_z
_atom_site_occupancy
Sm1 Sm 0.0000 0.0000 0.0000 1
Sm2 Sm 0.0000 0.1668 0.5000 1
Sm3 Sm 0.0000 0.3344 0.0000 1
Tm1 Tm 0.0000 0.5000 0.5000 1
N1 N 0.2442 0.5000 0.2534 1
N2 N 0.2451 0.3369 0.7459 1
```


[11]
For Rb3Cd4Ga, a DFT-relaxed cell (PBE, Alexandria) gives the simulated X-ray diffraction stick pattern in this record (Cu Kα).
Peak positions follow from Bragg's law for the DFT cell and can differ from measured ones.

Largest 10 diffraction maxima, sorted by position, 2θ = 5–70°:
2θ (°)	Rel. int.	h k l
13.78	25	0 1 1
27.34	54	1 0 3
27.72	100	0 2 2
30.50	51	2 1 1
31.47	23	2 0 2
35.64	25	2 2 0
35.85	30	1 2 3
39.18	23	2 2 2
41.73	18	0 1 5
42.21	18	0 3 3

Structure:
```
data_Rb3Cd4Ga
_cell_length_a 6.5858
_cell_length_b 7.8230
_cell_length_c 11.2629
_cell_angle_alpha 90.00
_cell_angle_beta 90.00
_cell_angle_gamma 90.00
_space_group_name_H-M_alt 'I m m 2'
_space_group_IT_number 44
loop_
_space_group_symop_operation_xyz
'x,y,z'
'-x,-y,z'
'-x,y,z'
'x,-y,z'
'x+1/2,y+1/2,z+1/2'
'-x+1/2,-y+1/2,z+1/2'
'-x+1/2,y+1/2,z+1/2'
'x+1/2,-y+1/2,z+1/2'
loop_
_atom_site_label
_atom_site_type_symbol
_atom_site_fract_x
_atom_site_fract_y
_atom_site_fract_z
_atom_site_occupancy
Rb1 Rb 0.0000 0.0000 0.0000 1
Rb2 Rb 0.0000 0.2454 0.6544 1
Cd1 Cd 0.0000 0.3001 0.3167 1
Cd2 Cd 0.2477 0.5000 0.9065 1
Ga1 Ga 0.0000 0.5000 0.1109 1
```


[12]
For TbTiO, a DFT-relaxed cell (PBE, Alexandria) gives the simulated X-ray diffraction stick pattern in this record (Cu Kα).
Peak positions follow from Bragg's law for the DFT cell and can differ from measured ones.

Largest 10 diffraction maxima, sorted by position, 2θ = 5–70°:
2θ (°)	Rel. int.	h k l
7.87	89	1 0 0
23.77	31	3 0 0
31.88	31	4 0 0
32.73	66	0 1 1
33.72	62	1 0 2
40.85	100	3 0 2
46.34	32	4 1 1
58.42	27	0 2 0
67.70	19	7 0 2
68.11	21	4 2 0

Structure:
```
data_TbTiO
_cell_length_a 11.2301
_cell_length_b 3.1579
_cell_length_c 5.4751
_cell_angle_alpha 90.00
_cell_angle_beta 90.00
_cell_angle_gamma 90.00
_space_group_name_H-M_alt 'A m m 2'
_space_group_IT_number 38
loop_
_space_group_symop_operation_xyz
'x,y,z'
'-x,-y,z'
'-x,y,z'
'x,-y,z'
'x,y+1/2,z+1/2'
'-x,-y+1/2,z+1/2'
'-x,y+1/2,z+1/2'
'x,-y+1/2,z+1/2'
loop_
_atom_site_label
_atom_site_type_symbol
_atom_site_fract_x
_atom_site_fract_y
_atom_site_fract_z
_atom_site_occupancy
Tb1 Tb 0.1447 0.0000 0.0000 1
Ti1 Ti 0.3829 0.0000 0.6692 1
O1 O 0.0000 0.0000 0.6664 1
O2 O 0.5000 0.0000 0.0027 1
```